# SiO2
Computed powder diffractogram, Cu Kα X-rays. Input: a DFT-relaxed cell (GGA-PBE, the Materials Project).
Intensities are scaled so that the largest is 100.

Structural model:
```
data_SiO2
_space_group_name_H-M_alt 'I a -3'
_space_group_IT_number 206
_space_group_name_Hall '-I 2b 2c 3'
_cell_length_a 8.5856
_cell_length_b 8.5856
_cell_length_c 8.5856
_cell_angle_alpha 90.00
_cell_angle_beta 90.00
_cell_angle_gamma 90.00
loop_
_atom_site_label
_atom_site_type_symbol
_atom_site_fract_x
_atom_site_fract_y
_atom_site_fract_z
_atom_site_occupancy
Si1 Si 0.1077 0.1077 0.1077 1
O1 O 0.0000 0.0000 0.0000 1
O2 O 0.0000 0.2500 0.1753 1
```

Most intense lines, 10° ≤ 2θ ≤ 90°, sorted by position:
| 2θ (°) | I_rel | index |
| --- | --- | --- |
| 20.69 | 10 | 2 0 0 |
| 25.41 | 100 | 2 1 1 |
| 36.25 | 15 | 2 2 2 |
| 39.26 | 11 | 3 2 1 |
| 49.82 | 10 | 3 3 2 |
| 54.50 | 8 | 4 1 3 |
| 61.05 | 10 | 4 4 0 |
| 67.22 | 14 | 5 3 2 |
| 80.71 | 6 | 6 4 0 |
| 82.58 | 7 | 7 2 1 |

# Sr2Bi2O5
Computed powder diffractogram, Cu Kα X-rays. Input: a DFT-relaxed cell (GGA-PBE, the Materials Project).
Intensities are scaled so that the largest is 100.

Structural model:
```
data_Sr2Bi2O5
_space_group_name_H-M_alt 'P 1 21/m 1'
_space_group_IT_number 11
_cell_length_a 7.5761
_cell_length_b 6.2552
_cell_length_c 7.7562
_cell_angle_alpha 90.00
_cell_angle_beta 104.71
_cell_angle_gamma 90.00
loop_
_space_group_symop_operation_xyz
'x,y,z'
'-x,-y,-z'
'-x,y+1/2,-z'
'x,-y+1/2,z'
loop_
_atom_site_label
_atom_site_type_symbol
_atom_site_fract_x
_atom_site_fract_y
_atom_site_fract_z
_atom_site_occupancy
Sr1 Sr 0.1068 0.2500 0.1512 1
Sr2 Sr 0.1294 0.2500 0.6576 1
Bi1 Bi 0.3703 0.7500 0.4746 1
Bi2 Bi 0.3768 0.7500 0.9615 1
O1 O 0.1756 0.5079 0.4131 1
O2 O 0.1806 0.5087 0.9258 1
O3 O 0.4861 0.7500 0.2466 1
```

Most intense lines, 10° ≤ 2θ ≤ 90°, sorted by position:
| 2θ (°) | I_rel | index |
| --- | --- | --- |
| 18.65 | 24 | 1 1 0 |
| 23.73 | 49 | 0 0 2 |
| 27.74 | 65 | 0 1 2 |
| 28.23 | 100 | 2 1 0 |
| 28.54 | 41 | 0 2 0 |
| 32.78 | 36 | 1 1 2 |
| 41.22 | 22 | 2 1 2 |
| 41.44 | 27 | 2 2 -2 |
| 50.35 | 22 | 2 3 0 |
| 55.60 | 30 | 1 1 4 |